Record 1
This entry pairs a crystal structure of RbSn2Cl8 with its theoretical powder X-ray diffraction pattern. Radiation: Cu Kα (weighted mean of Kα1 and Kα2). Structure: a structure optimized by DFT (PBE).
Lines closer than 0.1° are merged.

The 8 most intense peaks (2θ = 10–90°), sorted by position:
- (0 1 1), 2θ 17.10, rel. 100
- (1 1 0), 2θ 21.69, rel. 60
- (1 1 1), 2θ 24.69, rel. 46
- (2 0 2), 2θ 34.60, rel. 33
- (1 2 1), 2θ 35.50, rel. 28
- (1 0 3), 2θ 37.72, rel. 26
- (2 2 0), 2θ 44.22, rel. 30
- (2 1 3), 2θ 49.51, rel. 25

Cell and atoms:
Lattice parameters (Å, degrees): 8.1932 8.1932 7.5960 90.00 90.00 120.00
Fractional positions:
Rb1 0.0000 0.0000 0.0000
Sn1 0.3333 0.6667 0.2067
Sn2 0.6667 0.3333 0.7933
Cl1 0.1731 0.3461 0.3097
Cl2 0.1731 0.8269 0.3097
Cl3 0.3333 0.6667 0.8918
Cl4 0.3461 0.1731 0.6903
Cl5 0.6539 0.8269 0.3097
Cl6 0.6667 0.3333 0.1082
Cl7 0.8269 0.1731 0.6903
Cl8 0.8269 0.6539 0.6903

=====

Record 2
This entry pairs a crystal structure of Sm2Pd7Au3 with its theoretical powder X-ray diffraction pattern. Radiation: Cu Kα (weighted mean of Kα1 and Kα2). Structure: a structure optimized by DFT (PBE).
Lines closer than 0.1° are merged.

The 8 most intense peaks (2θ = 10–90°), sorted by position:
- (0 2 0), 2θ 34.50, rel. 39
- (1 0 -3), 2θ 35.28, rel. 21
- (0 2 1), 2θ 35.87, rel. 28
- (1 1 3), 2θ 38.38, rel. 52
- (2 0 0), 2θ 38.68, rel. 100
- (-1 1 3), 2θ 39.43, rel. 75
- (1 2 0), 2θ 39.58, rel. 19
- (1 3 -3), 2θ 65.13, rel. 19

Cell and atoms:
Lattice parameters (Å, degrees): 4.6578 5.1993 9.2988 89.69 88.28 89.49
Fractional positions:
Sm1 0.0542 0.2499 0.2305
Sm2 0.9458 0.7501 0.7695
Pd1 0.0100 0.2446 0.9056
Pd2 0.4489 0.7524 0.5733
Pd3 0.4771 0.7514 0.2656
Pd4 0.5000 0.0000 0.0000
Pd5 0.5229 0.2486 0.7344
Pd6 0.5511 0.2476 0.4267
Pd7 0.9900 0.7554 0.0944
Au1 0.0417 0.2504 0.5814
Au2 0.5000 0.5000 0.0000
Au3 0.9583 0.7496 0.4186